# Mn13FeSi2O22
Calculated XRD peak list, CuKα. Input: a crystal structure in Alexandria, relaxed with GGA+U.
Neutral-atom scattering factors, no anomalous dispersion.

```
data_Mn13FeSi2O22
_chemical_formula_sum 'Mn13 Fe1 Si2 O22'
_symmetry_space_group_name_H-M 'P -3 m 1'
_symmetry_Int_Tables_number 164
_symmetry_space_group_name_Hall '-P 3 2"'
_cell_length_a 6.8132
_cell_length_b 6.8132
_cell_length_c 10.8662
_cell_angle_alpha 90.00
_cell_angle_beta 90.00
_cell_angle_gamma 120.00
loop_
_atom_site_label
_atom_site_type_symbol
_atom_site_fract_x
_atom_site_fract_y
_atom_site_fract_z
Mn1 Mn 0.0000 0.0000 0.0000
Mn2 Mn 0.0000 0.5000 0.0000
Mn3 Mn 0.0000 0.5000 0.5000
Mn4 Mn 0.1676 0.3351 0.7701
Fe1 Fe 0.0000 0.0000 0.5000
Si1 Si 0.3333 0.6667 0.2511
O1 O 0.0000 0.0000 0.1793
O2 O 0.0693 0.5346 0.1975
O3 O 0.1562 0.3125 0.5955
O4 O 0.1933 0.3866 0.9525
O5 O 0.3333 0.6667 0.4008
```

Principal peaks in the range 2θ from 15° to 90°, in order of rising 2θ:
| two_theta | I/Imax | h k l |
| --- | --- | --- |
| 30.30 | 20 | 2 0 0 |
| 31.42 | 99 | 2 0 1 |
| 32.97 | 44 | 0 0 4 |
| 34.60 | 100 | 2 0 2 |
| 45.38 | 22 | 0 2 4 |
| 52.28 | 16 | 0 2 5 |
| 53.82 | 62 | 2 2 0 |
| 59.93 | 45 | 2 0 6 |
| 64.58 | 32 | 2 2 4 |
| 65.58 | 17 | 0 4 2 |